# BaSrPdF6
Computed XRD peak list, a wavelength of 1.5418 Å. Input: a cell relaxed with PBE.

Structure:
abc: 6.077 6.088 17.131
angles: 90.00 90.00 90.00
Space group Aea2 (No. 41)
One atom of each set of equivalent atoms:
Ba 0.000 0.000 0.000
Sr 0.000 0.000 0.676
Pd 0.000 0.000 0.332
F 0.161 0.161 0.417
F 0.165 0.164 0.249
F 0.249 0.259 0.593

Most intense lines, 2θ = 15–90°, in order of rising 2θ:
| (hkl) | d/Å | two_theta | I_rel |
| --- | --- | --- | --- |
| 1 1 3 | 3.436 | 25.93 | 100 |
| 0 2 0 | 3.041 | 29.37 | 21 |
| 2 2 0 | 2.151 | 42.01 | 18 |
| 0 2 6 | 2.083 | 43.45 | 18 |
| 2 0 6 | 2.081 | 43.49 | 18 |
| 3 1 3 | 1.823 | 50.04 | 33 |